(1)
Structure and theoretical X-ray diffraction stick pattern of Rb4Hg3Ge20 (the PBE geometry in the Materials Project; λ = 1.5418 Å (Cu Kα)).
Kinematic intensities with the Lorentz-polarization factor, no thermal factor.

Cell and atoms:
```
Rb4Hg3Ge20
1.0
11.171 0.000 0.000
0.000 11.171 0.000
0.000 0.000 11.171
Rb Hg Ge
8 6 40
direct
0.000 0.000 0.000
0.000 0.250 0.500
0.000 0.750 0.500
0.250 0.500 0.000
0.500 0.000 0.250
0.500 0.000 0.750
0.500 0.500 0.500
0.750 0.500 0.000
0.000 0.500 0.250
0.000 0.500 0.750
0.250 0.000 0.500
0.500 0.250 0.000
0.500 0.750 0.000
0.750 0.000 0.500
0.000 0.302 0.114
0.000 0.302 0.886
0.000 0.698 0.114
0.000 0.698 0.886
0.114 0.000 0.302
0.114 0.000 0.698
0.183 0.183 0.183
0.183 0.183 0.817
0.183 0.817 0.183
0.183 0.817 0.817
0.198 0.500 0.386
0.198 0.500 0.614
0.302 0.114 0.000
0.302 0.886 0.000
0.317 0.317 0.317
0.317 0.317 0.683
0.317 0.683 0.317
0.317 0.683 0.683
0.386 0.198 0.500
0.386 0.802 0.500
0.500 0.386 0.198
0.500 0.386 0.802
0.500 0.614 0.198
0.500 0.614 0.802
0.614 0.198 0.500
0.614 0.802 0.500
0.683 0.317 0.317
0.683 0.317 0.683
0.683 0.683 0.317
0.683 0.683 0.683
0.698 0.114 0.000
0.698 0.886 0.000
0.802 0.500 0.386
0.802 0.500 0.614
0.817 0.183 0.183
0.817 0.183 0.817
0.817 0.817 0.183
0.817 0.817 0.817
0.886 0.000 0.302
0.886 0.000 0.698
```

Most intense lines, 2θ from 15° to 90°, in order of rising 2θ:
2θ/deg	I (rel.)	hkl
17.75	46	2 1 0
27.66	56	2 2 2
29.93	100	3 2 1
32.05	25	4 0 0
47.46	48	5 3 0
50.35	48	5 3 2



(2)
Structure and theoretical X-ray diffraction stick pattern of Tl2HgGeTe4 (the PBE geometry in the Materials Project; λ = 1.5418 Å (Cu Kα)).
Kinematic intensities with the Lorentz-polarization factor, no thermal factor.

Cell and atoms:
```
Tl2HgGeTe4
1.0
8.598 0.000 0.000
0.000 8.598 0.000
0.000 0.000 7.207
Tl Hg Ge Te
4 2 2 8
direct
0.000 0.500 0.000
0.000 0.500 0.500
0.500 0.000 0.000
0.500 0.000 0.500
0.000 0.000 0.000
0.500 0.500 0.500
0.000 0.000 0.500
0.500 0.500 0.000
0.174 0.174 0.723
0.174 0.826 0.277
0.326 0.326 0.223
0.326 0.674 0.777
0.674 0.326 0.777
0.674 0.674 0.223
0.826 0.174 0.277
0.826 0.826 0.723
```

Most intense lines, 2θ from 15° to 90°, in order of rising 2θ:
2θ/deg	I (rel.)	hkl
20.66	25	2 0 0
26.27	57	2 1 1
29.38	51	2 2 0
32.42	100	2 0 2
47.28	23	4 2 0
49.37	24	4 0 2



(3)
Structure and theoretical X-ray diffraction stick pattern of HoGe (the PBE geometry in the Materials Project; λ = 1.5418 Å (Cu Kα)).
Kinematic intensities with the Lorentz-polarization factor, no thermal factor.

Cell and atoms:
```
HoGe
1.0
4.274 0.000 0.000
0.000 10.692 0.000
0.000 0.000 3.946
Ho Ge
4 4
direct
0.000 0.138 0.250
0.000 0.862 0.750
0.500 0.362 0.750
0.500 0.638 0.250
0.000 0.414 0.250
0.000 0.586 0.750
0.500 0.086 0.750
0.500 0.914 0.250
```

Most intense lines, 2θ from 15° to 90°, in order of rising 2θ:
2θ/deg	I (rel.)	hkl
28.11	23	0 2 1
31.99	100	1 1 1
32.72	32	1 3 0
33.53	32	0 4 0
40.09	52	1 3 1
42.29	25	2 0 0



(4)
Structure and theoretical X-ray diffraction stick pattern of Ho5Ge3 (the PBE geometry in the Materials Project; λ = 1.5418 Å (Cu Kα)).
Kinematic intensities with the Lorentz-polarization factor, no thermal factor.

Cell and atoms:
```
Ho5Ge3
1.0
8.488 0.000 0.000
-4.244 7.351 0.000
0.000 0.000 6.384
Ho Ge
10 6
direct
0.000 0.244 0.250
0.000 0.756 0.750
0.244 0.000 0.250
0.244 0.244 0.750
0.333 0.667 0.000
0.333 0.667 0.500
0.667 0.333 0.000
0.667 0.333 0.500
0.756 0.000 0.750
0.756 0.756 0.250
0.000 0.392 0.750
0.000 0.608 0.250
0.392 0.000 0.750
0.392 0.392 0.250
0.608 0.000 0.250
0.608 0.608 0.750
```

Most intense lines, 2θ from 15° to 90°, in order of rising 2θ:
2θ/deg	I (rel.)	hkl
30.53	18	1 0 2
32.22	22	2 1 0
35.21	100	1 1 2
36.68	22	3 0 0
51.73	13	2 2 2
54.30	15	2 1 3